1.
Computed powder XRD pattern of TbPr12Tm6 for Cu Kα, 1.54184 Å, from the PBE geometry in Alexandria.
Peak positions follow from Bragg's law for the DFT cell and can differ from measured ones.

Main lines, sorted by position (10° ≤ 2θ ≤ 90°):
d 2.968, 30.11°, I 1000
d 2.571, 34.90°, I 507
d 1.818, 50.19°, I 362
d 1.550, 59.63°, I 323
d 1.549, 59.69°, I 107
d 1.483, 62.63°, I 92
d 1.285, 73.71°, I 57
d 1.179, 81.67°, I 130
d 1.150, 84.17°, I 82
d 1.149, 84.29°, I 81

Crystal structure
```
TbPr12Tm6
1.0
7.9170 4.5709 2.9727
-7.9170 4.5709 2.9727
0.0000 -9.1418 2.9727
Tb Pr Tm
1 12 6
Cartesian
0.0000 0.0000 0.0000
-2.4871 -3.3365 3.0079
-5.0124 2.4091 2.9680
0.4199 -5.5454 2.9680
-4.5925 -3.1363 5.9500
-1.6459 3.8222 3.0079
-4.1331 0.4857 5.9101
4.1331 -0.4857 3.0079
1.6459 -3.8222 5.9101
4.5925 3.1363 2.9680
-0.4199 5.5454 5.9500
5.0124 -2.4091 5.9500
2.4871 3.3365 5.9101
-2.0266 0.2293 2.9881
0.8147 -1.8697 2.9881
1.2119 1.6404 2.9881
-1.2119 -1.6404 5.9299
-0.8147 1.8697 5.9299
2.0266 -0.2293 5.9299
```

***

2.
Computed powder XRD pattern of SrFeCoGe2 for Cu Kα, 1.54184 Å, from the PBE geometry in Alexandria.
Peak positions follow from Bragg's law for the DFT cell and can differ from measured ones.

Main lines, sorted by position (10° ≤ 2θ ≤ 90°):
d 5.341, 16.60°, I 134
d 2.894, 30.89°, I 167
d 2.687, 33.35°, I 1000
d 2.545, 35.27°, I 531
d 2.047, 44.25°, I 577
d 1.963, 46.25°, I 220
d 1.628, 56.53°, I 431
d 1.517, 61.11°, I 300
d 1.447, 64.37°, I 181
d 1.118, 87.15°, I 109

Crystal structure
```
SrFeCoGe2
1.0
-2.0467 2.0467 5.3414
2.0467 -2.0467 5.3414
2.0467 2.0467 -5.3414
Sr Fe Co Ge
1 1 1 2
Cartesian
0.0000 0.0000 0.0000
0.0000 2.0467 2.6707
2.0467 0.0000 2.6707
0.0000 0.0000 3.8154
0.0000 0.0000 6.8674
```

***

3.
Computed powder XRD pattern of Dy3Pd7 for Cu Kα, 1.54184 Å, from the PBE geometry in Alexandria.
Peak positions follow from Bragg's law for the DFT cell and can differ from measured ones.

Main lines, sorted by position (10° ≤ 2θ ≤ 90°):
d 2.432, 36.96°, I 1000
d 2.397, 37.53°, I 906
d 2.150, 42.03°, I 286
d 2.110, 42.86°, I 342
d 2.019, 44.90°, I 290
d 1.506, 61.59°, I 188
d 1.459, 63.81°, I 201
d 1.272, 74.63°, I 125
d 1.267, 74.99°, I 117
d 1.236, 77.20°, I 114

Crystal structure
```
Dy3Pd7
1.0
7.6848 -2.1099 0.0000
7.6848 2.1099 0.0000
-1.4633 0.0000 5.6484
Dy Pd
3 7
Cartesian
0.0000 0.0000 0.0000
1.9612 0.0000 3.5738
11.9452 0.0000 2.0746
-0.7317 0.0000 2.8242
2.8786 0.0000 0.7079
5.1408 0.0000 3.8578
5.9039 0.0000 1.0456
8.0025 0.0000 4.6028
8.7656 0.0000 1.7906
11.0277 0.0000 4.9405
```

***

4.
Computed powder XRD pattern of TbPm3Hg3 for Cu Kα, 1.54184 Å, from the PBE geometry in Alexandria.
Peak positions follow from Bragg's law for the DFT cell and can differ from measured ones.

Main lines, sorted by position (10° ≤ 2θ ≤ 90°):
d 7.488, 11.82°, I 112
d 3.298, 27.04°, I 169
d 2.706, 33.11°, I 258
d 2.625, 34.16°, I 1000
d 2.593, 34.59°, I 218
d 2.499, 35.94°, I 86
d 1.872, 48.64°, I 137
d 1.840, 49.53°, I 94
d 1.546, 59.82°, I 139
d 1.503, 61.71°, I 125

Crystal structure
```
TbPm3Hg3
1.0
5.1858 -5.4110 0.0000
5.1858 5.4110 0.0000
0.0000 0.0000 7.3609
Tb Pm Hg
2 6 6
Cartesian
5.1858 3.1266 0.0000
5.1858 -3.1266 0.0000
2.6218 0.0000 3.6804
5.1858 2.3941 3.6804
3.2030 0.0000 0.0000
7.1687 0.0000 0.0000
5.1858 -2.3941 3.6804
7.7499 0.0000 3.6804
0.0000 0.0000 2.0230
0.0000 0.0000 5.3379
2.5929 2.7055 1.7817
2.5929 2.7055 5.5792
2.5929 -2.7055 1.7817
2.5929 -2.7055 5.5792
```

***

5.
Computed powder XRD pattern of TlCrSn2Cl8 for Cu Kα, 1.54184 Å, from the PBE geometry in Alexandria.
Peak positions follow from Bragg's law for the DFT cell and can differ from measured ones.

Main lines, sorted by position (10° ≤ 2θ ≤ 90°):
d 4.811, 18.44°, I 407
d 4.740, 18.72°, I 1000
d 4.611, 19.25°, I 510
d 4.453, 19.94°, I 853
d 3.933, 22.61°, I 469
d 3.833, 23.21°, I 468
d 3.590, 24.80°, I 593
d 3.011, 29.67°, I 813
d 2.677, 33.48°, I 336
d 2.496, 35.98°, I 335

Crystal structure
```
TlCrSn2Cl8
1.0
6.2027 0.0000 0.0000
-0.0240 7.3389 0.0000
-2.1260 -1.9598 8.0731
Tl Cr Sn Cl
1 1 2 8
Cartesian
0.0000 0.0000 0.0000
-1.0630 -0.9799 4.0366
1.3722 1.4269 5.9270
2.6806 3.9522 2.1462
0.1690 4.5265 3.1930
0.4189 0.5742 3.1078
-0.4814 2.6506 7.9113
0.2690 -0.9763 6.0290
3.7838 6.3554 2.0441
4.5342 2.7285 0.1618
3.6339 4.8049 4.9653
3.8838 0.8527 4.8801
```

***

6.
Computed powder XRD pattern of La2SmDy5 for Cu Kα, 1.54184 Å, from the PBE geometry in Alexandria.
Peak positions follow from Bragg's law for the DFT cell and can differ from measured ones.

Main lines, sorted by position (10° ≤ 2θ ≤ 90°):
d 2.945, 30.35°, I 1000
d 2.561, 35.03°, I 171
d 2.545, 35.27°, I 336
d 1.805, 50.56°, I 242
d 1.799, 50.74°, I 120
d 1.543, 59.96°, I 145
d 1.535, 60.28°, I 285
d 1.472, 63.15°, I 124
d 1.171, 82.33°, I 118
d 1.168, 82.61°, I 59

Crystal structure
```
La2SmDy5
1.0
7.1959 0.0000 0.0000
0.0000 14.3972 0.0000
0.0000 0.0000 5.1225
La Sm Dy
4 2 10
Cartesian
1.7850 1.8073 0.0000
1.8129 9.0059 0.0000
5.3829 5.3913 0.0000
5.4109 12.5899 0.0000
0.0000 7.1986 2.5613
3.5979 0.0000 2.5613
0.0000 0.0000 2.5613
0.0176 10.8053 2.5613
1.7828 5.4007 0.0000
1.8151 12.5993 0.0000
3.5803 3.6068 2.5613
3.5979 7.1986 2.5613
3.6155 10.7904 2.5613
5.3808 1.7979 0.0000
5.4130 8.9965 0.0000
7.1783 3.5918 2.5613
```

***

7.
Computed powder XRD pattern of Er3AlTl4S8 for Cu Kα, 1.54184 Å, from the PBE geometry in Alexandria.
Peak positions follow from Bragg's law for the DFT cell and can differ from measured ones.

Main lines, sorted by position (10° ≤ 2θ ≤ 90°):
d 3.764, 23.64°, I 345
d 3.244, 27.50°, I 610
d 2.904, 30.78°, I 1000
d 2.169, 41.65°, I 385
d 1.955, 46.44°, I 324
d 1.880, 48.42°, I 254
d 1.735, 52.76°, I 249
d 1.622, 56.76°, I 174
d 1.356, 69.31°, I 210
d 1.248, 76.27°, I 143

Crystal structure
```
Er3AlTl4S8
1.0
3.9106 2.2578 7.5292
-3.9106 2.2578 7.5292
0.0000 -4.5155 7.5292
Er Al Tl S
3 1 4 8
Cartesian
-1.9553 -1.1289 7.5292
-1.9553 1.1289 15.0584
0.0000 2.2578 7.5292
0.0000 0.0000 0.0000
-3.9106 0.0000 11.2938
-1.9553 1.1289 3.7646
1.9553 1.1289 3.7646
0.0000 0.0000 11.2938
0.0000 -2.4126 8.9386
-2.0894 1.2063 8.9386
-2.0894 -1.2063 13.6490
0.0000 0.0000 6.0374
0.0000 0.0000 16.5502
2.0894 1.2063 8.9386
2.0894 -1.2063 13.6490
0.0000 2.4126 13.6490
```

***

8.
Computed powder XRD pattern of SbAu3 for Cu Kα, 1.54184 Å, from the PBE geometry in Alexandria.
Peak positions follow from Bragg's law for the DFT cell and can differ from measured ones.

Main lines, sorted by position (10° ≤ 2θ ≤ 90°):
d 2.673, 33.53°, I 1000
d 2.299, 39.18°, I 655
d 2.264, 39.81°, I 636
d 1.931, 47.06°, I 196
d 1.851, 49.22°, I 174
d 1.471, 63.23°, I 162
d 1.468, 63.35°, I 162
d 1.442, 64.64°, I 304
d 1.336, 70.46°, I 119
d 1.175, 81.97°, I 123

Crystal structure
```
SbAu3
1.0
4.7029 -1.8513 0.0000
4.7029 1.8513 0.0000
-1.0311 0.0000 4.7003
Sb Au
1 3
Cartesian
0.0000 0.0000 0.0000
1.6094 0.0000 3.4991
4.1874 0.0000 2.3502
6.7653 0.0000 1.2012
```

***

9.
Computed powder XRD pattern of Rb3SmCl6 for Cu Kα, 1.54184 Å, from the PBE geometry in Alexandria.
Peak positions follow from Bragg's law for the DFT cell and can differ from measured ones.

Main lines, sorted by position (10° ≤ 2θ ≤ 90°):
d 6.556, 13.51°, I 328
d 5.632, 15.73°, I 193
d 4.073, 21.82°, I 243
d 3.979, 22.34°, I 663
d 3.905, 22.77°, I 1000
d 3.090, 28.89°, I 193
d 2.953, 30.26°, I 368
d 2.817, 31.77°, I 674
d 2.761, 32.42°, I 262
d 2.239, 40.28°, I 194

Crystal structure
```
Rb3SmCl6
1.0
13.0598 -4.0732 0.0000
13.0598 4.0732 0.0000
-2.1448 0.0000 13.1890
Rb Sm Cl
12 4 24
Cartesian
8.3368 2.5527 2.5089
7.2363 1.4724 11.2592
10.3485 2.2178 7.2926
12.5539 2.2178 12.4910
16.7103 2.5527 4.0856
15.6661 1.4724 8.5244
8.3087 -1.4724 4.6646
7.2644 -2.5527 9.1034
11.4209 -2.2178 0.6981
13.6263 -2.2178 5.8964
16.7385 -1.4724 1.9299
15.6379 -2.5527 10.6801
5.4575 2.0366 6.5945
12.5236 2.5048 3.2973
6.5299 -2.0366 0.0000
11.4512 -2.5048 9.8918
1.2359 0.4512 2.8674
0.1635 -0.4512 9.4620
5.8625 0.9772 4.1050
11.5637 2.4264 0.7706
3.5172 0.1909 7.0158
4.5896 -0.1909 0.4213
13.4835 2.4264 5.8239
7.4184 0.3891 7.5340
10.6801 0.7455 4.2150
4.7901 -0.9772 10.6996
8.4908 -0.3891 0.9395
14.3671 0.7455 2.3795
9.6077 -0.7455 10.8095
15.4840 0.3891 12.2496
19.1847 0.9772 2.4895
13.2947 -0.7455 8.9740
16.5564 -0.3891 5.6551
10.4913 -2.4264 7.3652
19.3851 0.1909 12.7677
20.4576 -0.1909 6.1732
12.4111 -2.4264 12.4184
18.1123 -0.9772 9.0840
23.8113 0.4512 3.7271
22.7389 -0.4512 10.3216
```

***

10.
Computed powder XRD pattern of ErScTi4 for Cu Kα, 1.54184 Å, from the PBE geometry in Alexandria.
Peak positions follow from Bragg's law for the DFT cell and can differ from measured ones.

Main lines, sorted by position (10° ≤ 2θ ≤ 90°):
d 4.641, 19.12°, I 245
d 4.020, 22.11°, I 207
d 2.842, 31.47°, I 520
d 2.424, 37.09°, I 1000
d 2.321, 38.80°, I 222
d 1.798, 50.79°, I 91
d 1.641, 56.04°, I 198
d 1.547, 59.77°, I 317
d 1.421, 65.70°, I 205
d 1.226, 77.93°, I 106

Crystal structure
```
ErScTi4
1.0
0.0000 4.0197 4.0197
4.0197 0.0000 4.0197
4.0197 4.0197 0.0000
Er Sc Ti
1 1 4
Cartesian
0.0000 0.0000 0.0000
6.0295 6.0295 6.0295
3.0217 3.0217 3.0217
5.0176 5.0176 3.0217
5.0176 3.0217 5.0176
3.0217 5.0176 5.0176
```

***

11.
Computed powder XRD pattern of Sr3Tl5Pb2 for Cu Kα, 1.54184 Å, from the PBE geometry in Alexandria.
Peak positions follow from Bragg's law for the DFT cell and can differ from measured ones.

Main lines, sorted by position (10° ≤ 2θ ≤ 90°):
d 4.580, 19.38°, I 242
d 4.483, 19.80°, I 153
d 3.563, 24.99°, I 222
d 3.514, 25.34°, I 275
d 3.311, 26.93°, I 195
d 2.830, 31.61°, I 436
d 2.643, 33.92°, I 162
d 2.502, 35.89°, I 1000
d 2.217, 40.69°, I 274
d 1.563, 59.11°, I 241

Crystal structure
```
Sr3Tl5Pb2
1.0
3.5627 -8.9664 0.0000
3.5627 8.9664 0.0000
0.0000 0.0000 5.6607
Sr Tl Pb
3 5 2
Cartesian
0.0000 0.0000 0.0000
3.5627 2.9580 2.8303
3.5627 -2.9580 2.8303
3.5627 4.8545 0.0000
1.9175 0.0000 2.8303
3.5627 0.0000 0.0000
5.2079 0.0000 2.8303
3.5627 -4.8545 0.0000
3.5627 6.4560 2.8303
3.5627 -6.4560 2.8303
```

***

12.
Computed powder XRD pattern of BaSi3O for Cu Kα, 1.54184 Å, from the PBE geometry in Alexandria.
Peak positions follow from Bragg's law for the DFT cell and can differ from measured ones.

Main lines, sorted by position (10° ≤ 2θ ≤ 90°):
d 4.593, 19.32°, I 508
d 3.248, 27.46°, I 920
d 2.652, 33.80°, I 1000
d 2.297, 39.23°, I 665
d 2.054, 44.09°, I 270
d 1.875, 48.55°, I 369
d 1.624, 56.68°, I 436
d 1.452, 64.11°, I 156
d 1.385, 67.65°, I 406
d 1.228, 77.81°, I 178

Crystal structure
```
BaSi3O
1.0
4.5931 0.0000 0.0000
0.0000 4.5931 0.0000
0.0000 0.0000 4.5931
Ba Si O
1 3 1
Cartesian
0.0000 0.0000 0.0000
0.0000 2.2966 2.2966
2.2966 0.0000 2.2966
2.2966 2.2966 0.0000
2.2966 2.2966 2.2966
```

***

Which formula does entry 2 have? SrFeCoGe2